# 1
Theoretical powder diffractogram of CuH2Se2 for Cu Kα, 1.54184 Å, from DFT lattice parameters and positions (PBE).

Top 10 peaks for 2θ from 5° to 70°, sorted by position:
two_theta	intensity
14.63	30
22.11	27
25.03	100
27.53	13
35.86	42
36.09	42
43.35	44
45.09	23
45.48	22
50.31	16

```
5
Lattice="3.628 0.000 0.000 1.802 4.052 0.000 1.762 0.752 6.054" Properties=species:S:1:pos:R:3 pbc="T T T"
Cu 0.000 0.000 0.000
H 3.579 2.842 5.046
H 3.612 1.962 1.008
Se 3.613 3.366 1.555
Se 3.578 1.438 4.499
```


# 2
Theoretical powder diffractogram of Pr3Er8Sc2 for Cu Kα, 1.54184 Å, from DFT lattice parameters and positions (PBE).

Top 10 peaks for 2θ from 5° to 70°, sorted by position:
two_theta	intensity
18.19	15
24.76	15
28.10	23
29.59	16
30.27	41
31.88	24
32.19	48
33.68	100
35.11	14
58.35	21

```
13
Lattice="9.754 -3.868 0.000 9.754 3.868 0.000 -0.002 0.000 5.562" Properties=species:S:1:pos:R:3 pbc="T T T"
Pr 0.000 0.000 0.000
Pr 9.753 1.587 2.781
Pr 9.753 -1.587 2.781
Er 2.677 0.000 2.781
Er 7.507 1.611 5.560
Er 6.264 0.000 2.778
Er 11.998 1.611 0.002
Er 7.507 -1.611 5.560
Er 13.241 0.000 2.784
Er 11.998 -1.611 0.002
Er 16.828 0.000 2.781
Sc 4.685 0.000 5.559
Sc 14.820 0.000 0.003
```